No. 1
Theoretical powder X-ray diffraction pattern of CaMnBi2 for λ = 1.5418 Å (Cu Kα), from a DFT-relaxed cell (GGA-PBE, the Materials Project).
Intensities are scaled so that the largest is 100.

Peak list (10 most intense, 2θ = 10–90°, by angle)
21.19 deg, I = 61
24.53 deg, I = 77
25.54 deg, I = 90
28.91 deg, I = 58
29.04 deg, I = 58
32.29 deg, I = 100
32.42 deg, I = 99
39.67 deg, I = 99
43.58 deg, I = 77
47.20 deg, I = 57

Atomic structure:
```
CaMnBi2
1.0
4.543 0.000 0.000
0.000 10.886 0.000
-4.520 0.000 4.545
Ca Mn Bi
2 2 4
Direct
0.000 0.239 0.250
0.000 0.761 0.750
0.500 0.500 0.250
0.500 0.500 0.750
0.000 0.342 0.750
0.000 0.658 0.250
0.500 0.000 0.250
0.500 0.000 0.750
```


No. 2
Theoretical powder X-ray diffraction pattern of K2TmPCO7 for λ = 1.5418 Å (Cu Kα), from a DFT-relaxed cell (GGA-PBE, the Materials Project).
Intensities are scaled so that the largest is 100.

Peak list (10 most intense, 2θ = 10–90°, by angle)
15.37 deg, I = 100
19.76 deg, I = 83
21.86 deg, I = 34
23.16 deg, I = 45
23.90 deg, I = 60
25.18 deg, I = 35
30.76 deg, I = 99
31.06 deg, I = 55
31.47 deg, I = 27
33.19 deg, I = 29

Atomic structure:
```
K2TmPCO7
1.0
5.822 0.000 0.000
0.000 7.073 0.000
-0.310 0.000 9.946
K Tm P C O
4 2 2 2 14
Direct
0.247 0.013 0.224
0.247 0.487 0.224
0.753 0.513 0.776
0.753 0.987 0.776
0.221 0.250 0.634
0.779 0.750 0.366
0.288 0.750 0.569
0.712 0.250 0.431
0.271 0.250 0.906
0.729 0.750 0.094
0.067 0.250 0.845
0.141 0.750 0.434
0.234 0.568 0.649
0.234 0.932 0.649
0.302 0.250 0.031
0.445 0.250 0.822
0.451 0.250 0.465
0.549 0.750 0.535
0.555 0.750 0.178
0.698 0.750 0.969
0.766 0.068 0.351
0.766 0.432 0.351
0.859 0.250 0.566
0.933 0.750 0.155
```


No. 3
Theoretical powder X-ray diffraction pattern of HfIr for λ = 1.5418 Å (Cu Kα), from a DFT-relaxed cell (GGA-PBE, the Materials Project).
Intensities are scaled so that the largest is 100.

Peak list (10 most intense, 2θ = 10–90°, by angle)
36.28 deg, I = 28
38.61 deg, I = 28
39.61 deg, I = 100
54.02 deg, I = 18
60.38 deg, I = 8
67.50 deg, I = 14
70.53 deg, I = 19
72.52 deg, I = 7
74.00 deg, I = 9
85.31 deg, I = 10

Atomic structure:
```
HfIr
1.0
4.664 0.000 0.000
0.000 3.066 0.000
0.000 0.000 4.952
Hf Ir
2 2
Direct
0.250 0.000 0.231
0.750 0.000 0.769
0.250 0.500 0.706
0.750 0.500 0.294
```


No. 4
Theoretical powder X-ray diffraction pattern of Mg6ZnBiO8 for λ = 1.5418 Å (Cu Kα), from a DFT-relaxed cell (GGA-PBE, the Materials Project).
Intensities are scaled so that the largest is 100.

Peak list (10 most intense, 2θ = 10–90°, by angle)
19.63 deg, I = 95
19.92 deg, I = 48
22.04 deg, I = 48
27.90 deg, I = 42
28.11 deg, I = 82
34.52 deg, I = 83
39.87 deg, I = 100
40.49 deg, I = 45
49.50 deg, I = 36
58.13 deg, I = 58

Atomic structure:
```
Mg6ZnBiO8
1.0
4.522 0.000 0.000
0.000 4.522 0.000
0.000 0.000 8.912
Mg Zn Bi O
6 1 1 8
Direct
0.000 0.000 0.000
0.000 0.000 0.500
0.000 0.500 0.232
0.000 0.500 0.768
0.500 0.000 0.232
0.500 0.000 0.768
0.500 0.500 0.000
0.500 0.500 0.500
0.000 0.000 0.250
0.000 0.000 0.750
0.000 0.500 0.000
0.000 0.500 0.500
0.500 0.000 0.000
0.500 0.000 0.500
0.500 0.500 0.231
0.500 0.500 0.769
```


No. 5
Theoretical powder X-ray diffraction pattern of Ba2ZnCuSn2F14 for λ = 1.5418 Å (Cu Kα), from a DFT-relaxed cell (GGA-PBE, the Materials Project).
Intensities are scaled so that the largest is 100.

Peak list (10 most intense, 2θ = 10–90°, by angle)
22.93 deg, I = 42
24.13 deg, I = 100
24.51 deg, I = 77
27.02 deg, I = 24
28.41 deg, I = 35
28.63 deg, I = 31
29.21 deg, I = 58
38.45 deg, I = 22
46.84 deg, I = 24
47.87 deg, I = 27

Atomic structure:
```
Ba2ZnCuSn2F14
1.0
5.466 0.000 0.000
-2.619 7.393 0.000
-0.407 -0.169 15.516
Ba Zn Cu Sn F
4 2 2 4 28
Direct
0.000 0.000 0.000
0.159 0.982 0.495
0.348 0.704 0.740
0.528 0.703 0.256
0.734 0.356 0.875
0.784 0.365 0.382
0.763 0.368 0.620
0.770 0.355 0.127
0.119 0.113 0.750
0.167 0.110 0.246
0.369 0.601 0.999
0.412 0.585 0.502
0.061 0.300 0.436
0.074 0.593 0.913
0.123 0.673 0.586
0.148 0.855 0.216
0.162 0.522 0.106
0.182 0.361 0.270
0.271 0.004 0.850
0.272 0.727 0.392
0.357 0.181 0.134
0.378 0.053 0.675
0.378 0.353 0.963
0.379 0.349 0.796
0.397 0.863 0.022
0.450 0.122 0.335
0.545 0.520 0.645
0.596 0.277 0.498
0.619 0.701 0.901
0.644 0.873 0.526
0.695 0.662 0.076
0.722 0.420 0.249
0.734 0.602 0.394
0.810 0.277 0.993
0.844 0.054 0.166
0.849 0.118 0.840
0.885 0.858 0.727
0.894 0.428 0.763
0.905 0.995 0.336
0.992 0.203 0.642
```


No. 6
Theoretical powder X-ray diffraction pattern of Li2BeH4 for λ = 1.5418 Å (Cu Kα), from a DFT-relaxed cell (GGA-PBE, the Materials Project).
Intensities are scaled so that the largest is 100.

Peak list (10 most intense, 2θ = 10–90°, by angle)
13.52 deg, I = 34
15.69 deg, I = 75
17.40 deg, I = 100
34.31 deg, I = 59
36.61 deg, I = 48
38.31 deg, I = 26
39.87 deg, I = 31
40.24 deg, I = 27
43.09 deg, I = 34
45.78 deg, I = 28

Atomic structure:
```
Li2BeH4
1.0
5.140 0.000 0.000
0.764 6.588 0.000
0.754 1.218 11.297
Li Be H
12 6 24
Direct
0.000 0.000 0.000
0.007 0.110 0.361
0.188 0.342 0.796
0.333 0.856 0.472
0.366 0.298 0.044
0.493 0.859 0.039
0.504 0.290 0.412
0.520 0.039 0.633
0.630 0.517 0.613
0.947 0.572 0.065
0.968 0.715 0.826
0.992 0.555 0.373
0.002 0.994 0.655
0.088 0.266 0.547
0.091 0.591 0.612
0.835 0.834 0.507
0.841 0.226 0.173
0.970 0.843 0.206
0.113 0.255 0.171
0.175 0.479 0.936
0.179 0.800 0.118
0.204 0.058 0.717
0.312 0.576 0.685
0.317 0.483 0.283
0.318 0.093 0.959
0.326 0.596 0.296
0.327 0.952 0.299
0.346 0.724 0.887
0.351 0.840 0.870
0.417 0.035 0.316
0.531 0.192 0.818
0.571 0.273 0.769
0.595 0.778 0.566
0.711 0.347 0.077
0.713 0.018 0.444
0.742 0.271 0.287
0.786 0.012 0.150
0.803 0.938 0.741
0.810 0.794 0.967
0.825 0.670 0.224
0.852 0.192 0.609
0.902 0.530 0.712
```


No. 7
Theoretical powder X-ray diffraction pattern of Rb3HoF6 for λ = 1.5418 Å (Cu Kα), from a DFT-relaxed cell (GGA-PBE, the Materials Project).
Intensities are scaled so that the largest is 100.

Peak list (10 most intense, 2θ = 10–90°, by angle)
15.43 deg, I = 31
24.80 deg, I = 95
25.58 deg, I = 100
35.36 deg, I = 27
37.58 deg, I = 20
44.15 deg, I = 59
45.55 deg, I = 35
52.55 deg, I = 17
57.78 deg, I = 16
70.65 deg, I = 17

Atomic structure:
```
Rb3HoF6
1.0
-3.590 3.590 4.787
3.590 -3.590 4.787
3.590 3.590 -4.787
Rb Ho F
3 1 6
Direct
0.000 0.000 0.000
0.250 0.750 0.500
0.750 0.250 0.500
0.500 0.500 0.000
0.198 0.500 0.698
0.271 0.271 0.000
0.500 0.198 0.698
0.500 0.802 0.302
0.729 0.729 0.000
0.802 0.500 0.302
```


No. 8
Theoretical powder X-ray diffraction pattern of Hf2Si for λ = 1.5418 Å (Cu Kα), from a DFT-relaxed cell (GGA-PBE, the Materials Project).
Intensities are scaled so that the largest is 100.

Peak list (10 most intense, 2θ = 10–90°, by angle)
34.49 deg, I = 19
35.05 deg, I = 100
39.72 deg, I = 9
43.51 deg, I = 18
44.42 deg, I = 10
56.67 deg, I = 9
60.73 deg, I = 13
62.16 deg, I = 19
70.76 deg, I = 12
80.84 deg, I = 13

Atomic structure:
```
Hf2Si
1.0
6.577 0.000 0.000
0.000 6.577 0.000
0.000 0.000 5.200
Hf Si
8 4
Direct
0.157 0.343 0.000
0.157 0.657 0.500
0.343 0.157 0.500
0.343 0.843 0.000
0.657 0.157 0.000
0.657 0.843 0.500
0.843 0.343 0.500
0.843 0.657 0.000
0.000 0.000 0.250
0.000 0.000 0.750
0.500 0.500 0.250
0.500 0.500 0.750
```


No. 9
Theoretical powder X-ray diffraction pattern of Sr3Ga2P4 for λ = 1.5418 Å (Cu Kα), from a DFT-relaxed cell (GGA-PBE, the Materials Project).
Intensities are scaled so that the largest is 100.

Peak list (10 most intense, 2θ = 10–90°, by angle)
25.66 deg, I = 100
26.63 deg, I = 19
28.81 deg, I = 29
29.98 deg, I = 15
34.92 deg, I = 60
35.72 deg, I = 33
38.15 deg, I = 24
38.31 deg, I = 18
43.13 deg, I = 13
57.22 deg, I = 12

Atomic structure:
```
Sr3Ga2P4
1.0
6.631 -5.140 0.000
6.631 5.140 0.000
-0.034 0.000 6.695
Sr Ga P
6 4 8
Direct
0.100 0.900 0.750
0.248 0.506 0.461
0.494 0.752 0.039
0.506 0.248 0.961
0.752 0.494 0.539
0.900 0.100 0.250
0.083 0.324 0.917
0.324 0.083 0.417
0.676 0.917 0.583
0.917 0.676 0.083
0.075 0.240 0.575
0.205 0.558 0.976
0.240 0.075 0.075
0.442 0.795 0.524
0.558 0.205 0.476
0.760 0.925 0.925
0.795 0.442 0.024
0.925 0.760 0.425
```


No. 10
Theoretical powder X-ray diffraction pattern of Cs4SnO4 for λ = 1.5418 Å (Cu Kα), from a DFT-relaxed cell (GGA-PBE, the Materials Project).
Intensities are scaled so that the largest is 100.

Peak list (10 most intense, 2θ = 10–90°, by angle)
26.47 deg, I = 100
27.24 deg, I = 62
32.57 deg, I = 51
42.45 deg, I = 19
43.47 deg, I = 15
47.22 deg, I = 14
47.68 deg, I = 10
52.63 deg, I = 10
54.50 deg, I = 8
59.92 deg, I = 7

Atomic structure:
```
Cs4SnO4
1.0
11.918 0.000 0.000
0.000 7.492 0.000
-4.287 0.000 11.092
Cs Sn O
16 4 16
Direct
0.057 0.090 0.195
0.057 0.410 0.695
0.156 0.612 0.090
0.156 0.888 0.590
0.366 0.656 0.891
0.366 0.844 0.391
0.427 0.176 0.796
0.427 0.324 0.296
0.573 0.676 0.704
0.573 0.824 0.204
0.634 0.156 0.609
0.634 0.344 0.109
0.844 0.112 0.410
0.844 0.388 0.910
0.943 0.590 0.305
0.943 0.910 0.805
0.243 0.129 0.994
0.243 0.371 0.494
0.757 0.629 0.506
0.757 0.871 0.006
0.083 0.240 0.971
0.083 0.260 0.471
0.222 0.511 0.344
0.222 0.989 0.844
0.298 0.524 0.643
0.298 0.976 0.143
0.366 0.177 0.517
0.366 0.323 0.017
0.634 0.677 0.983
0.634 0.823 0.483
0.702 0.024 0.857
0.702 0.476 0.357
0.778 0.011 0.156
0.778 0.489 0.656
0.917 0.740 0.529
0.917 0.760 0.029
```


No. 11
Theoretical powder X-ray diffraction pattern of Hg2N for λ = 1.5418 Å (Cu Kα), from a DFT-relaxed cell (GGA-PBE, the Materials Project).
Intensities are scaled so that the largest is 100.

Peak list (10 most intense, 2θ = 10–90°, by angle)
14.91 deg, I = 100
28.77 deg, I = 53
30.07 deg, I = 70
34.86 deg, I = 33
38.11 deg, I = 31
45.80 deg, I = 21
50.13 deg, I = 28
52.60 deg, I = 24
59.58 deg, I = 31
70.24 deg, I = 14

Atomic structure:
```
Hg2N
1.0
0.000 5.147 5.147
5.147 0.000 5.147
5.147 5.147 0.000
Hg N
4 2
Direct
0.000 0.000 0.000
0.000 0.000 0.500
0.000 0.500 0.000
0.500 0.000 0.000
0.125 0.125 0.125
0.875 0.875 0.875
```